(1)
Simulated X-ray diffraction stick pattern
Compound: Tm3Ga5
Radiation: Cu Kα, 1.54184 Å
Structure: a crystal structure in OQMD, relaxed with GGA-PBE
Intensities are scaled so that the largest is 100.

Most intense lines, 10 to 90 degrees two-theta, in order of rising 2θ:
- 2θ = 25.02°, intensity 33
- 2θ = 28.56°, intensity 55
- 2θ = 30.72°, intensity 44
- 2θ = 32.17°, intensity 65
- 2θ = 33.71°, intensity 79
- 2θ = 35.04°, intensity 51
- 2θ = 36.11°, intensity 100
- 2θ = 36.90°, intensity 76
- 2θ = 37.56°, intensity 88
- 2θ = 38.24°, intensity 82
- 2θ = 42.00°, intensity 63
- 2θ = 54.67°, intensity 40

```
Tm3Ga5
1.0
11.3165 0.0000 0.0000
0.0000 9.5797 0.0000
0.0000 0.0000 6.0234
Tm Ga
12 20
Cartesian
0.8293 2.3949 0.9184
1.6720 4.8816 3.6710
1.6720 9.4879 3.6710
3.9862 0.0918 0.6593
3.9862 4.6981 0.6593
4.8289 7.1848 3.9301
6.4876 2.3949 2.0934
7.3303 4.8816 5.3642
7.3303 9.4879 5.3642
9.6444 0.0918 2.3525
9.6444 4.6981 2.3525
10.4871 7.1848 5.1051
0.0652 2.3949 3.7749
1.0295 5.2869 0.7537
1.0295 9.0827 0.7537
2.2812 7.1848 5.3890
2.8113 7.1848 1.9716
2.8469 2.3949 4.9833
3.3770 2.3949 2.3773
4.6288 0.4970 3.7654
4.6288 4.2928 3.7654
5.5930 7.1848 0.7632
5.7234 2.3949 5.2603
6.6877 5.2869 2.2580
6.6877 9.0827 2.2580
7.9394 7.1848 3.6462
8.4696 7.1848 1.0401
8.5051 2.3949 4.0518
9.0353 2.3949 0.6345
10.2870 0.4970 5.2698
10.2870 4.2928 5.2698
11.2513 7.1848 2.2486
```

(2)
Simulated X-ray diffraction stick pattern
Compound: NdYCN2O2
Radiation: Cu Kα, 1.54184 Å
Structure: a crystal structure in OQMD, relaxed with GGA-PBE
Intensities are scaled so that the largest is 100.

Most intense lines, 10 to 90 degrees two-theta, in order of rising 2θ:
- 2θ = 10.73°, intensity 54
- 2θ = 21.56°, intensity 19
- 2θ = 27.10°, intensity 18
- 2θ = 29.23°, intensity 100
- 2θ = 32.59°, intensity 17
- 2θ = 34.90°, intensity 40
- 2θ = 42.89°, intensity 24
- 2θ = 47.89°, intensity 30
- 2θ = 52.40°, intensity 24
- 2θ = 57.10°, intensity 15
- 2θ = 59.13°, intensity 19
- 2θ = 77.66°, intensity 12

```
NdYCN2O2
1.0
3.7988 0.0000 0.0000
-1.8994 3.2899 0.0000
0.0000 0.0000 8.2416
Nd Y C N O
1 1 1 2 2
Cartesian
0.0000 0.0000 0.0000
1.8994 1.0966 5.2863
0.0000 2.1932 2.6707
0.0000 2.1932 1.4341
0.0000 2.1932 3.9048
0.0000 0.0000 5.8513
1.8994 1.0966 7.5544
```

(3)
Simulated X-ray diffraction stick pattern
Compound: Hf3Ni3Bi4
Radiation: Cu Kα, 1.54184 Å
Structure: a crystal structure in OQMD, relaxed with GGA-PBE
Intensities are scaled so that the largest is 100.

Most intense lines, 10 to 90 degrees two-theta, in order of rising 2θ:
- 2θ = 30.34°, intensity 57
- 2θ = 36.07°, intensity 100
- 2θ = 43.44°, intensity 20
- 2θ = 47.83°, intensity 20
- 2θ = 49.91°, intensity 12
- 2θ = 61.34°, intensity 18
- 2θ = 63.11°, intensity 12
- 2θ = 64.86°, intensity 11
- 2θ = 68.28°, intensity 10
- 2θ = 71.62°, intensity 9
- 2θ = 74.90°, intensity 8
- 2θ = 89.19°, intensity 8

```
Hf3Ni3Bi4
1.0
-4.6584 4.6584 4.6584
4.6584 -4.6584 4.6584
4.6584 4.6584 -4.6584
Hf Ni Bi
6 6 8
Cartesian
6.9876 1.1646 0.0000
3.4938 0.0000 2.3292
2.3292 3.4938 0.0000
0.0000 2.3292 3.4938
1.1646 0.0000 6.9876
0.0000 6.9876 1.1646
4.6584 -2.3292 3.4938
3.4938 4.6584 -2.3292
4.6584 2.3292 1.1646
2.3292 1.1646 4.6584
1.1646 4.6584 2.3292
-2.3292 3.4938 4.6584
3.8611 0.7973 -0.7973
6.1903 -1.5319 1.5319
0.7973 0.7973 0.7973
0.7973 -0.7973 3.8611
-0.7973 3.8611 0.7973
1.5319 6.1903 -1.5319
3.1265 3.1265 3.1265
-1.5319 1.5319 6.1903
```

(4)
Simulated X-ray diffraction stick pattern
Compound: Dy2Tm3Lu2Ni2Te2
Radiation: Cu Kα, 1.54184 Å
Structure: a crystal structure in OQMD, relaxed with GGA-PBE
Intensities are scaled so that the largest is 100.

Most intense lines, 10 to 90 degrees two-theta, in order of rising 2θ:
- 2θ = 25.24°, intensity 15
- 2θ = 29.24°, intensity 19
- 2θ = 30.57°, intensity 20
- 2θ = 30.72°, intensity 52
- 2θ = 33.36°, intensity 79
- 2θ = 34.51°, intensity 100
- 2θ = 34.99°, intensity 73
- 2θ = 37.03°, intensity 21
- 2θ = 38.90°, intensity 15
- 2θ = 47.83°, intensity 29
- 2θ = 51.84°, intensity 27
- 2θ = 59.58°, intensity 36

```
Dy2Tm3Lu2Ni2Te2
1.0
-1.9016 7.6858 4.7314
1.9016 -7.6858 4.7314
1.9016 7.6858 -4.7314
Dy Tm Lu Ni Te
2 3 2 2 2
Cartesian
0.0000 2.8442 0.0000
0.0000 12.5275 0.0000
1.9016 0.0000 1.1642
1.9016 5.4485 -1.4066
0.0000 2.2373 3.3249
0.0000 5.6203 1.9360
0.0000 9.7514 1.9360
1.9016 3.6520 1.8417
0.0000 4.0339 6.5731
1.9016 0.0000 4.3825
0.0000 0.0000 8.0829
```

(5)
Simulated X-ray diffraction stick pattern
Compound: YTm2Cu4Si2Ge2
Radiation: Cu Kα, 1.54184 Å
Structure: a crystal structure in OQMD, relaxed with GGA-PBE
Intensities are scaled so that the largest is 100.

Most intense lines, 10 to 90 degrees two-theta, in order of rising 2θ:
- 2θ = 12.91°, intensity 14
- 2θ = 27.05°, intensity 16
- 2θ = 35.43°, intensity 100
- 2θ = 36.66°, intensity 98
- 2θ = 40.15°, intensity 36
- 2θ = 43.73°, intensity 33
- 2θ = 45.81°, intensity 23
- 2θ = 57.50°, intensity 14
- 2θ = 60.89°, intensity 13
- 2θ = 65.21°, intensity 24
- 2θ = 75.67°, intensity 13
- 2θ = 81.62°, intensity 13

```
YTm2Cu4Si2Ge2
1.0
-2.0702 3.2961 6.8583
2.0702 -3.2961 6.8583
2.0702 3.2961 -6.8583
Y Tm Cu Si Ge
1 2 4 2 2
Cartesian
0.0000 0.0000 0.0000
2.0702 0.0000 5.0922
0.0000 3.2961 1.7662
2.0702 1.2619 -2.2469
2.0702 1.2619 2.2469
0.0000 2.0342 4.6114
0.0000 2.0342 9.1053
2.0702 2.0926 0.0000
0.0000 1.2035 6.8583
0.0000 0.0000 2.9902
0.0000 0.0000 10.7264
```

(6)
Simulated X-ray diffraction stick pattern
Compound: NaAc3Pd8
Radiation: Cu Kα, 1.54184 Å
Structure: a crystal structure in OQMD, relaxed with GGA-PBE
Intensities are scaled so that the largest is 100.

Most intense lines, 10 to 90 degrees two-theta, in order of rising 2θ:
- 2θ = 24.43°, intensity 7
- 2θ = 29.20°, intensity 8
- 2θ = 31.89°, intensity 42
- 2θ = 37.58°, intensity 100
- 2θ = 39.32°, intensity 28
- 2θ = 56.85°, intensity 12
- 2θ = 60.54°, intensity 6
- 2θ = 60.63°, intensity 25
- 2θ = 66.58°, intensity 11
- 2θ = 66.71°, intensity 14
- 2θ = 79.16°, intensity 9
- 2θ = 80.25°, intensity 7

```
NaAc3Pd8
1.0
2.8043 1.6190 9.1824
-2.8043 1.6190 9.1824
0.0000 -3.2381 9.1824
Na Ac Pd
1 3 8
Cartesian
0.0000 0.0000 0.0000
0.0000 0.0000 3.3482
0.0000 0.0000 14.0258
0.0000 0.0000 17.5969
0.0000 -1.6098 6.4691
-1.3941 0.8049 6.4691
-1.3881 -0.8014 11.0841
0.0000 0.0000 8.7824
1.3941 0.8049 6.4691
1.3881 -0.8014 11.0841
0.0000 1.6029 11.0841
0.0000 0.0000 22.5488
```

(7)
Simulated X-ray diffraction stick pattern
Compound: Dy4YTm2Ni2Te2
Radiation: Cu Kα, 1.54184 Å
Structure: a crystal structure in OQMD, relaxed with GGA-PBE
Intensities are scaled so that the largest is 100.

Most intense lines, 10 to 90 degrees two-theta, in order of rising 2θ:
- 2θ = 25.02°, intensity 24
- 2θ = 28.95°, intensity 18
- 2θ = 30.18°, intensity 18
- 2θ = 30.45°, intensity 42
- 2θ = 33.01°, intensity 80
- 2θ = 34.13°, intensity 100
- 2θ = 34.60°, intensity 78
- 2θ = 36.70°, intensity 19
- 2θ = 38.54°, intensity 21
- 2θ = 45.12°, intensity 17
- 2θ = 47.41°, intensity 28
- 2θ = 58.99°, intensity 38

```
Dy4YTm2Ni2Te2
1.0
-1.9174 7.7879 4.7737
1.9174 -7.7879 4.7737
1.9174 7.7879 -4.7737
Dy Y Tm Ni Te
4 1 2 2 2
Cartesian
0.0000 2.0607 0.0000
0.0000 4.8953 1.9258
0.0000 13.5151 0.0000
0.0000 10.6805 1.9258
0.0000 0.0000 5.5483
1.9174 -2.2902 3.3618
1.9174 2.2902 3.3618
1.9174 4.0975 0.0785
0.0000 3.6905 4.8522
0.0000 0.0000 2.3565
0.0000 7.7879 3.3026
```

(8)
Simulated X-ray diffraction stick pattern
Compound: Na2ZnB2O5
Radiation: Cu Kα, 1.54184 Å
Structure: a crystal structure in OQMD, relaxed with GGA-PBE
Intensities are scaled so that the largest is 100.

Most intense lines, 10 to 90 degrees two-theta, in order of rising 2θ:
- 2θ = 19.54°, intensity 100
- 2θ = 20.00°, intensity 59
- 2θ = 20.49°, intensity 71
- 2θ = 22.73°, intensity 49
- 2θ = 30.13°, intensity 44
- 2θ = 33.29°, intensity 50
- 2θ = 34.15°, intensity 76
- 2θ = 37.14°, intensity 52
- 2θ = 37.55°, intensity 50
- 2θ = 39.13°, intensity 81
- 2θ = 44.72°, intensity 50
- 2θ = 51.95°, intensity 46

```
Na2ZnB2O5
1.0
2.9085 -4.4398 0.0000
2.9085 4.4398 0.0000
-1.8425 0.0000 8.6674
Na Zn B O
4 2 4 10
Cartesian
1.0688 2.6402 7.9812
1.9844 2.6402 5.0200
1.9900 -2.6402 3.6474
2.9056 -2.6402 0.6863
2.4478 2.6642 2.1669
1.5266 -2.6642 6.5006
1.3868 0.1063 2.9058
0.4656 -0.1063 7.2395
3.5088 0.1063 1.4280
2.5875 -0.1063 5.7617
-0.4210 0.7533 7.8439
1.1891 1.4477 2.9927
0.5002 -0.7533 3.5101
1.5266 0.4795 6.5006
0.2678 -1.4477 7.3264
3.7066 1.4477 1.3410
2.4478 -0.4795 2.1669
3.4742 0.7533 5.1573
2.7853 -1.4477 5.6748
4.3954 -0.7533 0.8236
```

(9)
Simulated X-ray diffraction stick pattern
Compound: Cu5Ag4
Radiation: Cu Kα, 1.54184 Å
Structure: a crystal structure in OQMD, relaxed with GGA-PBE
Intensities are scaled so that the largest is 100.

Most intense lines, 10 to 90 degrees two-theta, in order of rising 2θ:
- 2θ = 40.34°, intensity 100
- 2θ = 46.40°, intensity 16
- 2θ = 47.04°, intensity 16
- 2θ = 47.31°, intensity 15
- 2θ = 68.22°, intensity 10
- 2θ = 68.93°, intensity 9
- 2θ = 81.82°, intensity 6
- 2θ = 81.91°, intensity 6
- 2θ = 82.81°, intensity 11
- 2θ = 83.16°, intensity 6
- 2θ = 83.25°, intensity 5
- 2θ = 87.13°, intensity 5

```
Cu5Ag4
1.0
4.3627 -1.9317 0.0000
4.3627 1.9317 0.0000
-2.7237 0.0000 7.7561
Cu Ag
5 4
Cartesian
0.0000 0.0000 0.0000
2.5703 0.0000 0.8114
1.6926 0.0000 3.4445
4.3091 0.0000 4.3116
3.4315 0.0000 6.9447
-0.9006 0.0000 2.5744
6.9024 0.0000 5.1817
0.7763 0.0000 6.0983
5.2255 0.0000 1.6578
```

(10)
Simulated X-ray diffraction stick pattern
Compound: La2Pr2CBr3Cl2
Radiation: Cu Kα, 1.54184 Å
Structure: a crystal structure in OQMD, relaxed with GGA-PBE
Intensities are scaled so that the largest is 100.

Most intense lines, 10 to 90 degrees two-theta, in order of rising 2θ:
- 2θ = 10.08°, intensity 31
- 2θ = 10.79°, intensity 28
- 2θ = 16.50°, intensity 14
- 2θ = 20.49°, intensity 18
- 2θ = 27.65°, intensity 25
- 2θ = 30.53°, intensity 82
- 2θ = 30.73°, intensity 100
- 2θ = 36.75°, intensity 18
- 2θ = 43.71°, intensity 30
- 2θ = 44.06°, intensity 30
- 2θ = 45.21°, intensity 19
- 2θ = 55.55°, intensity 17

```
La2Pr2CBr3Cl2
1.0
9.0507 -2.0057 0.0000
9.0507 2.0057 0.0000
-2.0645 0.0000 8.1985
La Pr C Br Cl
2 2 1 3 2
Cartesian
2.4777 0.0000 0.6895
13.5593 0.0000 7.5089
8.5692 0.0000 1.6862
7.4678 0.0000 6.5122
0.0000 0.0000 0.0000
-1.0322 0.0000 4.0992
4.7222 0.0000 5.2741
11.3148 0.0000 2.9244
5.6497 0.0000 1.2572
10.3873 0.0000 6.9413
```

(11)
Simulated X-ray diffraction stick pattern
Compound: Sr2CdBrClO2
Radiation: Cu Kα, 1.54184 Å
Structure: a crystal structure in OQMD, relaxed with GGA-PBE
Intensities are scaled so that the largest is 100.

Most intense lines, 10 to 90 degrees two-theta, in order of rising 2θ:
- 2θ = 11.42°, intensity 30
- 2θ = 26.78°, intensity 9
- 2θ = 29.00°, intensity 77
- 2θ = 35.55°, intensity 100
- 2θ = 41.48°, intensity 39
- 2θ = 55.75°, intensity 52
- 2θ = 60.10°, intensity 12
- 2θ = 67.68°, intensity 11
- 2θ = 68.10°, intensity 13
- 2θ = 71.82°, intensity 12
- 2θ = 75.26°, intensity 10
- 2θ = 86.49°, intensity 15

```
Sr2CdBrClO2
1.0
-2.1771 2.1771 7.7498
2.1771 -2.1771 7.7498
2.1771 2.1771 -7.7498
Sr Cd Br Cl O
2 1 1 1 2
Cartesian
0.0000 0.0000 0.0000
0.0000 0.0000 3.2725
0.0000 0.0000 9.3453
0.0000 0.0000 12.3170
0.0000 0.0000 6.5348
2.1771 0.0000 1.6329
0.0000 2.1771 1.6329
```

(12)
Simulated X-ray diffraction stick pattern
Compound: Dy3Er3BiSbOs
Radiation: Cu Kα, 1.54184 Å
Structure: a crystal structure in OQMD, relaxed with GGA-PBE
Intensities are scaled so that the largest is 100.

Most intense lines, 10 to 90 degrees two-theta, in order of rising 2θ:
- 2θ = 12.43°, intensity 18
- 2θ = 30.41°, intensity 100
- 2θ = 32.97°, intensity 90
- 2θ = 33.29°, intensity 57
- 2θ = 37.90°, intensity 46
- 2θ = 39.77°, intensity 63
- 2θ = 43.04°, intensity 30
- 2θ = 51.10°, intensity 15
- 2θ = 55.47°, intensity 27
- 2θ = 58.67°, intensity 26
- 2θ = 59.49°, intensity 14
- 2θ = 60.83°, intensity 36

```
Dy3Er3BiSbOs
1.0
8.2227 0.0000 0.0000
-4.1114 7.1211 0.0000
0.0000 0.0000 4.2034
Dy Er Bi Sb Os
3 3 1 1 1
Cartesian
-2.4622 5.1304 0.0000
0.8994 2.4236 0.0000
1.5627 6.6882 0.0000
3.1597 0.7038 2.1017
3.1410 4.0328 2.1017
6.0334 2.3845 2.1017
0.0000 0.0000 2.1017
0.0000 4.7474 2.1017
4.1114 2.3737 0.0000
```

(13)
Simulated X-ray diffraction stick pattern
Compound: TmLuHgC
Radiation: Cu Kα, 1.54184 Å
Structure: a crystal structure in OQMD, relaxed with GGA-PBE
Intensities are scaled so that the largest is 100.

Most intense lines, 10 to 90 degrees two-theta, in order of rising 2θ:
- 2θ = 29.20°, intensity 23
- 2θ = 34.08°, intensity 100
- 2θ = 34.76°, intensity 20
- 2θ = 46.02°, intensity 16
- 2θ = 51.78°, intensity 21
- 2θ = 60.55°, intensity 3
- 2θ = 61.87°, intensity 18
- 2θ = 63.45°, intensity 17
- 2θ = 63.88°, intensity 21
- 2θ = 71.75°, intensity 4
- 2θ = 84.83°, intensity 8
- 2θ = 86.23°, intensity 15

```
TmLuHgC
1.0
3.5313 0.0000 0.0000
-1.7657 3.0582 0.0000
0.0000 0.0000 15.4855
Tm Lu Hg C
2 2 2 2
Cartesian
0.0000 2.0388 0.0000
1.7657 1.0194 7.7427
0.0000 2.0388 5.1030
1.7657 1.0194 12.8457
0.0000 2.0388 10.3015
1.7657 1.0194 2.5588
0.0000 0.0000 6.4112
0.0000 0.0000 14.1540
```